This entry pairs a crystal structure of Be2CoTc with its calculated powder diffractogram. Radiation: a wavelength of 1.5418 Å. Structure: a crystal structure in Alexandria, relaxed with PBE.
No peak broadening, texture or thermal motion is included.

Most intense lines, 10° ≤ 2θ ≤ 90°, by intensity:
hkl 2 0 0, 2θ = 32.78°, intensity 100; hkl 2 2 0, 2θ = 47.04°, intensity 95; hkl 4 2 2, 2θ = 87.46°, intensity 30; hkl 4 2 0, 2θ = 78.25°, intensity 29; hkl 2 2 2, 2θ = 58.52°, intensity 24; hkl 4 0 0, 2θ = 68.72°, intensity 14; hkl 1 1 1, 2θ = 28.29°, intensity 13; hkl 3 1 1, 2θ = 55.81°, intensity 6; hkl 3 3 1, 2θ = 75.91°, intensity 3

Crystal structure
a = 5.464 Å, b = 5.464 Å, c = 5.464 Å
α = 90.00°, β = 90.00°, γ = 90.00°
Element x y z (fractional)
1 Be 0.250 0.250 0.250
2 Be 0.250 0.250 0.750
3 Be 0.250 0.750 0.250
4 Be 0.250 0.750 0.750
5 Be 0.750 0.250 0.250
6 Be 0.750 0.250 0.750
7 Be 0.750 0.750 0.250
8 Be 0.750 0.750 0.750
9 Co 0.000 0.000 0.000
10 Co 0.000 0.500 0.500
11 Co 0.500 0.000 0.500
12 Co 0.500 0.500 0.000
13 Tc 0.000 0.000 0.500
14 Tc 0.000 0.500 0.000
15 Tc 0.500 0.000 0.000
16 Tc 0.500 0.500 0.500